Theoretical powder X-ray diffraction pattern
Compound: Pr2Dy6Er3
Radiation: Cu Ka
Structure: the PBE geometry in Alexandria
Intensities are scaled so that the largest is 100.

Structure:
```
data_Pr2Dy6Er3
_chemical_formula_sum 'Pr4 Dy12 Er6'
_cell_length_a 6.1038
_cell_length_b 10.5840
_cell_length_c 11.7199
_cell_angle_alpha 90.00
_cell_angle_beta 100.11
_cell_angle_gamma 90.00
_symmetry_space_group_name_H-M 'C 1 2/m 1'
_symmetry_Int_Tables_number 12
_symmetry_space_group_name_Hall '-C 2y'
loop_
_atom_site_label
_atom_site_type_symbol
_atom_site_fract_x
_atom_site_fract_y
_atom_site_fract_z
_atom_site_occupancy
Pr1 Pr 0.0000 0.1668 0.0000 1
Dy1 Dy 0.2486 0.1667 0.7452 1
Dy2 Dy 0.2488 0.5000 0.7453 1
Er1 Er 0.0000 0.0000 0.5000 1
Er2 Er 0.0000 0.3347 0.5000 1
```

The 10 most intense peaks (2θ = 15–90°), by intensity:
Position (°2θ), d (Å), intensity, index
31.04, 2.881, 100, 1 3 1
36.00, 2.495, 51, 2 0 2
61.62, 1.505, 32, 2 6 -2
51.80, 1.765, 24, 0 6 0
51.88, 1.763, 12, 3 3 -1
61.73, 1.503, 11, 4 0 0
64.75, 1.440, 9, 2 6 2
87.43, 1.116, 8, 4 6 -4
84.76, 1.144, 6, 4 6 0
84.68, 1.145, 6, 1 9 1